For HoErRu2, a cell relaxed with PBE gives the computed powder X-ray diffraction pattern in this record (CuKα).
Intensities are scaled so that the largest is 100.

Peak list (6 most intense, 10 to 90 degrees two-theta, by angle)
26.3 deg, I = 6, (2 0 0); 37.6 deg, I = 100, (2 2 0); 54.2 deg, I = 17, (4 0 0); 61.3 deg, I = 3, (4 2 0); 67.8 deg, I = 35, (4 2 2); 80.2 deg, I = 11, (4 4 0)

a = 6.7675 Å, b = 6.7675 Å, c = 6.7675 Å
α = 90.00°, β = 90.00°, γ = 90.00°
Space group Fm-3m (No. 225)
Symmetry-distinct sites (fractional):
Ho: 0.0000 0.0000 0.0000 x4
Er: 0.0000 0.0000 0.5000 x4
Ru: 0.2500 0.2500 0.2500 x8